[1]
# ZrTaB4
Computed powder X-ray diffraction pattern, Cu Kα X-rays. Input: a GGA-PBE-relaxed structure.
Kinematic intensities with the Lorentz-polarization factor, no thermal factor.

Most intense lines, 2θ from 10° to 90°, low angle first:
d [Å]	2θ (°)	I/Imax	(hkl)
6.857	12.9	26	0 0 1
3.429	26.0	42	0 0 2
2.720	32.9	80	1 0 0
2.528	35.5	14	1 0 1
2.131	42.4	100	1 0 2
1.570	58.8	21	1 1 0
1.450	64.2	24	1 0 4
1.428	65.4	20	1 1 2
1.264	75.2	18	2 0 2
1.158	83.5	15	1 1 4

```
data_ZrTaB4
_chemical_formula_sum 'Zr1 Ta1 B4'
_cell_length_a 3.1403
_cell_length_b 3.1403
_cell_length_c 6.8575
_cell_angle_alpha 90.00
_cell_angle_beta 90.00
_cell_angle_gamma 120.00
_space_group_name_H-M_alt 'P 6/m m m'
_space_group_IT_number 191
_space_group_name_Hall '-P 6 2'
loop_
_atom_site_label
_atom_site_fract_x
_atom_site_fract_y
_atom_site_fract_z
_atom_site_occupancy
Zr1 0.0000 0.0000 0.0000 1
Ta1 0.0000 0.0000 0.5000 1
B1 0.3333 0.6667 0.2594 1
```


[2]
# CsSr3
Computed powder X-ray diffraction pattern, Cu Kα X-rays. Input: a GGA-PBE-relaxed structure.
Kinematic intensities with the Lorentz-polarization factor, no thermal factor.

Most intense lines, 2θ from 10° to 90°, low angle first:
d [Å]	2θ (°)	I/Imax	(hkl)
3.661	24.3	100	1 1 1
3.170	28.1	52	2 0 0
2.242	40.2	39	2 2 0
1.912	47.6	48	3 1 1
1.830	49.8	14	2 2 2
1.585	58.2	7	4 0 0
1.455	64.0	20	3 3 1
1.418	65.9	18	4 2 0
1.294	73.1	13	4 2 2
1.220	78.4	15	5 1 1

```
data_CsSr3
_chemical_formula_sum 'Cs1 Sr3'
_cell_length_a 6.340
_cell_length_b 6.340
_cell_length_c 6.340
_cell_angle_alpha 90.00
_cell_angle_beta 90.00
_cell_angle_gamma 90.00
_space_group_name_H-M_alt 'P m -3 m'
_space_group_IT_number 221
_space_group_name_Hall '-P 4 2 3'
loop_
_atom_site_label
_atom_site_fract_x
_atom_site_fract_y
_atom_site_fract_z
_atom_site_occupancy
Cs1 0.000 0.000 0.000 1
Sr1 0.000 0.500 0.500 1
```


[3]
# SmTmRh2
Computed powder X-ray diffraction pattern, Cu Kα X-rays. Input: a GGA-PBE-relaxed structure.
Kinematic intensities with the Lorentz-polarization factor, no thermal factor.

Most intense lines, 2θ from 10° to 90°, low angle first:
d [Å]	2θ (°)	I/Imax	(hkl)
3.443	25.9	5	2 0 0
2.434	36.9	100	2 2 0
1.988	45.6	2	2 2 2
1.721	53.2	17	4 0 0
1.540	60.1	2	4 2 0
1.406	66.5	35	4 2 2
1.217	78.6	11	4 4 0
1.148	84.4	1	6 0 0

```
data_SmTmRh2
_chemical_formula_sum 'Sm4 Tm4 Rh8'
_cell_length_a 6.886
_cell_length_b 6.886
_cell_length_c 6.886
_cell_angle_alpha 90.00
_cell_angle_beta 90.00
_cell_angle_gamma 90.00
_space_group_name_H-M_alt 'F m -3 m'
_space_group_IT_number 225
_space_group_name_Hall '-F 4 2 3'
loop_
_atom_site_label
_atom_site_fract_x
_atom_site_fract_y
_atom_site_fract_z
_atom_site_occupancy
Sm1 0.000 0.000 0.000 1
Tm1 0.000 0.000 0.500 1
Rh1 0.250 0.250 0.250 1
```


[4]
# Fe13Ge3
Computed powder X-ray diffraction pattern, Cu Kα X-rays. Input: a GGA-PBE-relaxed structure.
Kinematic intensities with the Lorentz-polarization factor, no thermal factor.

Most intense lines, 2θ from 10° to 90°, low angle first:
d [Å]	2θ (°)	I/Imax	(hkl)
3.308	27.0	1	1 1 1
2.026	44.7	100	2 2 0
1.432	65.1	15	4 0 0
1.170	82.5	29	4 2 2

```
data_Fe13Ge3
_chemical_formula_sum 'Fe13 Ge3'
_cell_length_a 5.729
_cell_length_b 5.729
_cell_length_c 5.729
_cell_angle_alpha 90.00
_cell_angle_beta 90.00
_cell_angle_gamma 90.00
_space_group_name_H-M_alt 'P m -3 m'
_space_group_IT_number 221
_space_group_name_Hall '-P 4 2 3'
loop_
_atom_site_label
_atom_site_fract_x
_atom_site_fract_y
_atom_site_fract_z
_atom_site_occupancy
Fe1 0.000 0.000 0.000 1
Fe2 0.000 0.000 0.500 1
Fe3 0.248 0.248 0.248 1
Fe4 0.500 0.500 0.500 1
Ge1 0.000 0.500 0.500 1
```


[5]
# Sn3Ir2Se3
Computed powder X-ray diffraction pattern, Cu Kα X-rays. Input: a GGA-PBE-relaxed structure.
Kinematic intensities with the Lorentz-polarization factor, no thermal factor.

Most intense lines, 2θ from 10° to 90°, low angle first:
d [Å]	2θ (°)	I/Imax	(hkl)
4.548	19.5	77	2 0 2
3.216	27.7	38	2 2 0
2.876	31.1	95	4 -1 2
2.626	34.1	20	0 4 2
2.431	37.0	32	1 3 4
2.034	44.6	100	4 2 2
1.857	49.1	68	6 0 0
1.784	51.2	29	5 2 0
1.560	59.2	19	5 -3 8
1.371	68.4	22	8 0 2

```
data_Sn3Ir2Se3
_chemical_formula_sum 'Sn36 Ir24 Se36'
_cell_length_a 12.8558
_cell_length_b 12.8558
_cell_length_c 15.7707
_cell_angle_alpha 90.00
_cell_angle_beta 90.00
_cell_angle_gamma 120.00
_space_group_name_H-M_alt 'R -3'
_space_group_IT_number 148
_space_group_name_Hall '-R 3'
loop_
_atom_site_label
_atom_site_fract_x
_atom_site_fract_y
_atom_site_fract_z
_atom_site_occupancy
Sn1 0.0096 0.8386 0.3393 1
Sn2 0.0612 0.2726 0.9404 1
Ir1 0.0000 0.0000 0.2452 1
Ir2 0.0002 0.4994 0.7553 1
Se1 0.0167 0.8358 0.8344 1
Se2 0.0516 0.4505 0.1009 1
```


[6]
# K2RbBiCl6
Computed powder X-ray diffraction pattern, Cu Kα X-rays. Input: a GGA-PBE-relaxed structure.
Kinematic intensities with the Lorentz-polarization factor, no thermal factor.

Most intense lines, 2θ from 10° to 90°, low angle first:
d [Å]	2θ (°)	I/Imax	(hkl)
6.711	13.2	43	1 1 1
5.812	15.2	98	2 0 0
4.109	21.6	100	2 2 0
2.906	30.8	78	4 0 0
2.599	34.5	52	4 2 0
2.373	37.9	47	4 2 2
2.055	44.1	54	4 4 0
1.937	46.9	28	6 0 0
1.838	49.6	24	6 2 0
1.553	59.5	27	6 4 2

```
data_K2RbBiCl6
_chemical_formula_sum 'K8 Rb4 Bi4 Cl24'
_cell_length_a 11.623
_cell_length_b 11.623
_cell_length_c 11.623
_cell_angle_alpha 90.00
_cell_angle_beta 90.00
_cell_angle_gamma 90.00
_space_group_name_H-M_alt 'F m -3 m'
_space_group_IT_number 225
_space_group_name_Hall '-F 4 2 3'
loop_
_atom_site_label
_atom_site_fract_x
_atom_site_fract_y
_atom_site_fract_z
_atom_site_occupancy
K1 0.250 0.250 0.250 1
Rb1 0.000 0.000 0.000 1
Bi1 0.000 0.000 0.500 1
Cl1 0.000 0.000 0.267 1
```


[7]
# Lu2Ta2O5
Computed powder X-ray diffraction pattern, Cu Kα X-rays. Input: a GGA-PBE-relaxed structure.
Kinematic intensities with the Lorentz-polarization factor, no thermal factor.

Most intense lines, 2θ from 10° to 90°, low angle first:
d [Å]	2θ (°)	I/Imax	(hkl)
2.827	31.6	100	1 0 2
2.452	36.6	31	1 1 0
2.441	36.8	14	0 0 4
1.734	52.8	16	2 0 0
1.730	52.9	29	1 1 4
1.478	62.9	29	2 1 2
1.473	63.1	13	1 0 6
1.414	66.1	11	2 0 4
1.125	86.5	6	3 0 2
1.123	86.7	11	2 1 6

```
data_Lu2Ta2O5
_chemical_formula_sum 'Lu2 Ta2 O5'
_cell_length_a 3.468
_cell_length_b 3.468
_cell_length_c 9.763
_cell_angle_alpha 90.00
_cell_angle_beta 90.00
_cell_angle_gamma 90.00
_space_group_name_H-M_alt 'P 4/m m m'
_space_group_IT_number 123
_space_group_name_Hall '-P 4 2'
loop_
_atom_site_label
_atom_site_fract_x
_atom_site_fract_y
_atom_site_fract_z
_atom_site_occupancy
Lu1 0.000 0.000 0.236 1
Ta1 0.500 0.500 0.000 1
Ta2 0.500 0.500 0.500 1
O1 0.000 0.000 0.000 1
O2 0.000 0.500 0.376 1
```


[8]
# BiRh
Computed powder X-ray diffraction pattern, Cu Kα X-rays. Input: a GGA-PBE-relaxed structure.
Kinematic intensities with the Lorentz-polarization factor, no thermal factor.

Most intense lines, 2θ from 10° to 90°, low angle first:
d [Å]	2θ (°)	I/Imax	(hkl)
4.205	21.1	10	0 0 2
2.938	30.4	30	1 0 0
2.773	32.3	18	1 0 1
2.408	37.3	100	1 0 2
2.103	43.0	16	0 0 4
1.710	53.6	13	1 0 4
1.696	54.1	25	1 1 0
1.387	67.6	18	2 0 2
1.320	71.5	22	1 1 4
1.265	75.1	14	1 0 6

```
data_BiRh
_chemical_formula_sum 'Bi2 Rh2'
_cell_length_a 3.3922
_cell_length_b 3.3922
_cell_length_c 8.4103
_cell_angle_alpha 90.00
_cell_angle_beta 90.00
_cell_angle_gamma 120.00
_space_group_name_H-M_alt 'P 63/m m c'
_space_group_IT_number 194
_space_group_name_Hall '-P 6c 2c'
loop_
_atom_site_label
_atom_site_fract_x
_atom_site_fract_y
_atom_site_fract_z
_atom_site_occupancy
Bi1 0.0000 0.0000 0.0000 1
Rh1 0.3333 0.6667 0.2500 1
```